Simulated PXRD pattern of ZrO2 for Cu Kα X-rays, from a DFT-relaxed cell (PBE, the Materials Project).
Lines closer than 0.1° are merged.

Lattice parameters (Å, degrees): 5.902 5.440 5.075 90.00 90.00 90.00
Fractional coordinates of all 12 atoms:
Zr 0.143 0.250 0.082
Zr 0.357 0.750 0.582
Zr 0.643 0.250 0.418
Zr 0.857 0.750 0.918
O 0.118 0.514 0.779
O 0.118 0.986 0.779
O 0.382 0.014 0.279
O 0.382 0.486 0.279
O 0.618 0.514 0.721
O 0.618 0.986 0.721
O 0.882 0.014 0.221
O 0.882 0.486 0.221

Most intense lines, 2θ = 5–70°, low angle first:
| Position (°2θ) | intensity | hkl |
| --- | --- | --- |
| 23.1 | 65 | 1 0 1 |
| 24.0 | 47 | 0 1 1 |
| 28.4 | 100 | 1 1 1 |
| 34.6 | 57 | 2 1 0 |
| 48.9 | 29 | 2 2 1 |
| 51.6 | 22 | 1 2 2 |


Simulated PXRD pattern of ZrO2 for Cu Kα X-rays, from a DFT-relaxed cell (PBE, the Materials Project).
Lines closer than 0.1° are merged.

Lattice parameters (Å, degrees): 4.934 4.934 3.283 90.00 90.00 90.00
Fractional coordinates of all 6 atoms:
Zr 0.000 0.000 0.000
Zr 0.500 0.500 0.500
O 0.195 0.195 0.500
O 0.305 0.695 0.000
O 0.695 0.305 0.000
O 0.805 0.805 0.500

Most intense lines, 2θ = 5–70°, low angle first:
| Position (°2θ) | intensity | hkl |
| --- | --- | --- |
| 25.5 | 100 | 1 1 0 |
| 32.8 | 73 | 1 0 1 |
| 36.4 | 19 | 2 0 0 |
| 49.8 | 66 | 2 1 1 |
| 52.4 | 17 | 2 2 0 |
| 63.2 | 21 | 3 0 1 |